The following is a calculated powder X-ray diffraction pattern of CdPPdO. It was derived from a DFT-relaxed cell (GGA-PBE, OQMD), using Cu Kα, 1.54184 Å.
No peak broadening, texture or thermal motion is included.

Top 12 peaks for 2θ = 15–90°, low angle first:
2theta	d/Å	I_rel
22.78	3.904	56
31.38	2.850	71
32.45	2.759	100
38.24	2.353	18
40.87	2.208	20
43.38	2.086	56
49.55	1.840	26
54.52	1.683	28
56.54	1.628	41
63.03	1.475	17
72.70	1.301	19
89.72	1.093	19

Unit cell a=4.171 b=4.171 c=7.808 alpha=90.00 beta=90.00 gamma=90.00
Positions (direct):
Cd (0.250, 0.250, 0.094)
Cd (0.750, 0.750, 0.906)
P (0.250, 0.250, 0.651)
P (0.750, 0.750, 0.349)
Pd (0.250, 0.750, 0.500)
Pd (0.750, 0.250, 0.500)
O (0.250, 0.750, 0.000)
O (0.750, 0.250, 0.000)

=====

The following is a calculated powder X-ray diffraction pattern of Cd2P2PdO8. It was derived from a DFT-relaxed cell (GGA-PBE, OQMD), using Cu Kα, 1.54184 Å.
No peak broadening, texture or thermal motion is included.

Top 12 peaks for 2θ = 15–90°, low angle first:
2theta	d/Å	I_rel
21.32	4.168	28
23.07	3.854	36
23.73	3.749	77
24.65	3.612	53
27.44	3.251	24
28.41	3.141	100
30.58	2.923	80
33.10	2.707	36
34.24	2.619	54
37.69	2.387	40
38.02	2.366	25
41.46	2.178	33

Unit cell a=4.810 b=5.658 c=6.774 alpha=74.76 beta=85.90 gamma=69.55
Positions (direct):
Cd (0.205, 0.226, 0.188)
Cd (0.795, 0.774, 0.812)
P (0.127, 0.174, 0.720)
P (0.873, 0.826, 0.280)
Pd (0.500, 0.500, 0.500)
O (0.113, 0.364, 0.850)
O (0.189, 0.821, 0.329)
O (0.263, 0.266, 0.509)
O (0.297, 0.891, 0.832)
O (0.703, 0.109, 0.168)
O (0.737, 0.734, 0.491)
O (0.811, 0.179, 0.671)
O (0.887, 0.636, 0.150)

=====

The following is a calculated powder X-ray diffraction pattern of Zn2CdP2O8. It was derived from a DFT-relaxed cell (GGA-PBE, OQMD), using Cu Kα, 1.54184 Å.
No peak broadening, texture or thermal motion is included.

Top 12 peaks for 2θ = 15–90°, low angle first:
2theta	d/Å	I_rel
23.82	3.736	61
26.66	3.344	37
27.95	3.193	62
30.21	2.958	100
32.33	2.769	86
34.65	2.589	56
35.07	2.559	40
35.93	2.500	51
42.80	2.113	25
43.62	2.075	33
54.95	1.671	32
57.43	1.605	20

Unit cell a=5.049 b=5.273 c=6.466 alpha=74.38 beta=84.58 gamma=65.92
Positions (direct):
Zn (0.211, 0.255, 0.181)
Zn (0.789, 0.745, 0.819)
Cd (0.500, 0.500, 0.500)
P (0.149, 0.125, 0.728)
P (0.851, 0.875, 0.272)
O (0.123, 0.340, 0.863)
O (0.151, 0.885, 0.290)
O (0.243, 0.251, 0.503)
O (0.367, 0.820, 0.829)
O (0.633, 0.180, 0.171)
O (0.757, 0.749, 0.497)
O (0.849, 0.115, 0.710)
O (0.877, 0.660, 0.137)

=====

The following is a calculated powder X-ray diffraction pattern of SmCd3Pb4O12. It was derived from a DFT-relaxed cell (GGA-PBE, OQMD), using Cu Kα, 1.54184 Å.
No peak broadening, texture or thermal motion is included.

Top 12 peaks for 2θ = 15–90°, low angle first:
2theta	d/Å	I_rel
21.51	4.132	9
30.60	2.922	100
37.71	2.386	1
43.82	2.066	23
49.31	1.848	5
54.39	1.687	46
63.70	1.461	14
68.07	1.377	2
72.31	1.307	18
76.45	1.246	1
80.53	1.193	5
88.55	1.104	24

Unit cell a=7.157 b=7.157 c=7.157 alpha=109.47 beta=109.47 gamma=109.47
Positions (direct):
Sm (0.000, 0.000, 0.000)
Cd (0.000, 0.500, 0.500)
Cd (0.500, 0.000, 0.500)
Cd (0.500, 0.500, 0.000)
Pb (0.000, 0.000, 0.500)
Pb (0.000, 0.500, 0.000)
Pb (0.500, 0.000, 0.000)
Pb (0.500, 0.500, 0.500)
O (0.118, 0.288, 0.830)
O (0.170, 0.458, 0.288)
O (0.170, 0.882, 0.712)
O (0.288, 0.170, 0.458)
O (0.288, 0.830, 0.118)
O (0.458, 0.288, 0.170)
O (0.542, 0.712, 0.830)
O (0.712, 0.170, 0.882)
O (0.712, 0.830, 0.542)
O (0.830, 0.118, 0.288)
O (0.830, 0.542, 0.712)
O (0.882, 0.712, 0.170)

=====

The following is a calculated powder X-ray diffraction pattern of Zr4CdPbO2. It was derived from a DFT-relaxed cell (GGA-PBE, OQMD), using Cu Kα, 1.54184 Å.
No peak broadening, texture or thermal motion is included.

Top 12 peaks for 2θ = 15–90°, low angle first:
2theta	d/Å	I_rel
24.06	3.699	3
30.91	2.893	21
31.51	2.839	6
33.25	2.694	6
35.99	2.495	100
36.43	2.466	19
48.51	1.877	17
54.97	1.670	21
65.28	1.429	17
67.48	1.388	16
67.76	1.383	19
76.32	1.248	4

Unit cell a=3.341 b=3.341 c=14.796 alpha=90.00 beta=90.00 gamma=120.00
Positions (direct):
Zr (0.000, 0.000, 0.165)
Zr (0.000, 0.000, 0.835)
Zr (0.333, 0.667, 0.334)
Zr (0.333, 0.667, 0.666)
Cd (0.333, 0.667, 0.000)
Pb (0.000, 0.000, 0.500)
O (0.667, 0.333, 0.246)
O (0.667, 0.333, 0.754)

=====

The following is a calculated powder X-ray diffraction pattern of CdPdSeO. It was derived from a DFT-relaxed cell (GGA-PBE, OQMD), using Cu Kα, 1.54184 Å.
No peak broadening, texture or thermal motion is included.

Top 12 peaks for 2θ = 15–90°, low angle first:
2theta	d/Å	I_rel
21.04	4.222	51
24.19	3.679	36
30.44	2.936	32
31.30	2.858	36
31.79	2.814	30
32.41	2.763	54
33.10	2.707	51
37.42	2.404	47
38.03	2.366	39
44.33	2.044	100
44.69	2.028	78
45.22	2.005	66

Unit cell a=5.715 b=8.443 c=5.847 alpha=90.00 beta=90.00 gamma=90.00
Positions (direct):
Cd (0.250, 0.160, 0.000)
Cd (0.250, 0.160, 0.500)
Cd (0.750, 0.840, 0.000)
Cd (0.750, 0.840, 0.500)
Pd (0.250, 0.802, 0.498)
Pd (0.250, 0.802, 0.998)
Pd (0.750, 0.198, 0.498)
Pd (0.750, 0.198, 0.998)
Se (0.049, 0.617, 0.248)
Se (0.451, 0.617, 0.748)
Se (0.549, 0.383, 0.248)
Se (0.951, 0.383, 0.748)
O (0.098, 0.964, 0.249)
O (0.402, 0.964, 0.749)
O (0.598, 0.036, 0.249)
O (0.902, 0.036, 0.749)